Entry 1:
Theoretical powder diffraction line list
Compound: Sr2AsPd
Radiation: Cu Kα, 1.54184 Å
Structure: a cell relaxed with GGA-PBE
No peak broadening, texture or thermal motion is included.

Crystal structure
a = 6.0930 Å, b = 4.5981 Å, c = 8.6128 Å
α = 90.00°, β = 108.86°, γ = 90.00°
Atoms (fractional coordinates):
Sr (0.2036, 0.2500, 0.4227)
Sr (0.2890, 0.7500, 0.0654)
Sr (0.7110, 0.2500, 0.9346)
Sr (0.7964, 0.7500, 0.5773)
As (0.3462, 0.7500, 0.7098)
As (0.6538, 0.2500, 0.2902)
Pd (0.1728, 0.2500, 0.7771)
Pd (0.8272, 0.7500, 0.2229)

Top 8 peaks for 2θ from 15° to 90°, by intensity:
| 2θ (°) | d [Å] | I_rel |
| --- | --- | --- |
| 29.28 | 3.050 | 100 |
| 29.10 | 3.069 | 84 |
| 36.80 | 2.443 | 76 |
| 37.25 | 2.414 | 73 |
| 37.38 | 2.406 | 69 |
| 39.18 | 2.299 | 66 |
| 41.05 | 2.199 | 57 |
| 15.70 | 5.646 | 56 |

Entry 2:
Theoretical powder diffraction line list
Compound: Pm3Pr2Tm
Radiation: Cu Kα, 1.54184 Å
Structure: a cell relaxed with GGA-PBE
No peak broadening, texture or thermal motion is included.

Crystal structure
a = 6.8183 Å, b = 17.8948 Å, c = 3.4270 Å
α = 90.00°, β = 90.00°, γ = 90.00°
Atoms (fractional coordinates):
Pm (0.0000, 0.0000, 0.0000)
Pm (0.2444, 0.3232, 0.0000)
Pm (0.2556, 0.8232, 0.5000)
Pm (0.5000, 0.5000, 0.5000)
Pm (0.7444, 0.1768, 0.5000)
Pm (0.7556, 0.6768, 0.0000)
Pr (0.2377, 0.1511, 0.5000)
Pr (0.2623, 0.6511, 0.0000)
Pr (0.7377, 0.3489, 0.0000)
Pr (0.7623, 0.8489, 0.5000)
Tm (0.0000, 0.5000, 0.0000)
Tm (0.5000, 0.0000, 0.5000)

Top 8 peaks for 2θ from 15° to 90°, by intensity:
| 2θ (°) | d [Å] | I_rel |
| --- | --- | --- |
| 28.01 | 3.186 | 100 |
| 29.96 | 2.982 | 84 |
| 40.26 | 2.240 | 78 |
| 33.04 | 2.712 | 72 |
| 30.07 | 2.971 | 71 |
| 30.87 | 2.897 | 46 |
| 62.82 | 1.479 | 36 |
| 35.53 | 2.527 | 34 |

Entry 3:
Theoretical powder diffraction line list
Compound: Tb5Er2Tm3
Radiation: Cu Kα, 1.54184 Å
Structure: a cell relaxed with GGA-PBE
No peak broadening, texture or thermal motion is included.

Crystal structure
a = 10.8615 Å, b = 10.8615 Å, c = 10.8615 Å
α = 119.79°, β = 72.15°, γ = 144.07°
Atoms (fractional coordinates):
Tb (0.0670, 0.7500, 0.3170)
Tb (0.1706, 0.1109, 0.2815)
Tb (0.2500, 0.2500, 0.0000)
Tb (0.3294, 0.6109, 0.9402)
Tb (0.4330, 0.7500, 0.6830)
Tb (0.5670, 0.2500, 0.3170)
Tb (0.6706, 0.3891, 0.0598)
Tb (0.7500, 0.7500, 0.0000)
Tb (0.8294, 0.8891, 0.7185)
Tb (0.9330, 0.2500, 0.6830)
Er (0.0227, 0.2643, 0.2870)
Er (0.4773, 0.7643, 0.2416)
Er (0.5227, 0.2357, 0.7584)
Er (0.9773, 0.7357, 0.7130)
Tm (0.1692, 0.7950, 0.9643)
Tm (0.2500, 0.7500, 0.5000)
Tm (0.3308, 0.2950, 0.6258)
Tm (0.6692, 0.7050, 0.3742)
Tm (0.7500, 0.2500, 0.5000)
Tm (0.8308, 0.2050, 0.0357)

Top 8 peaks for 2θ from 15° to 90°, by intensity:
| 2θ (°) | d [Å] | I_rel |
| --- | --- | --- |
| 31.34 | 2.854 | 100 |
| 30.55 | 2.926 | 78 |
| 44.34 | 2.043 | 57 |
| 31.85 | 2.809 | 57 |
| 28.93 | 3.086 | 52 |
| 34.74 | 2.582 | 42 |
| 52.45 | 1.745 | 30 |
| 34.46 | 2.602 | 20 |

Entry 4:
Theoretical powder diffraction line list
Compound: Dy2TlPb5
Radiation: Cu Kα, 1.54184 Å
Structure: a cell relaxed with GGA-PBE
No peak broadening, texture or thermal motion is included.

Crystal structure
a = 6.8298 Å, b = 6.8298 Å, c = 6.8579 Å
α = 119.30°, β = 119.30°, γ = 90.55°
Atoms (fractional coordinates):
Dy (0.0000, 0.5000, 0.0000)
Dy (0.5000, 0.0000, 0.0000)
Tl (0.0000, 0.0000, 0.0000)
Pb (0.0000, 0.0000, 0.5000)
Pb (0.0000, 0.5000, 0.5000)
Pb (0.5000, 0.0000, 0.5000)
Pb (0.5000, 0.5000, 0.0000)
Pb (0.5000, 0.5000, 0.5000)

Top 8 peaks for 2θ from 15° to 90°, by intensity:
| 2θ (°) | d [Å] | I_rel |
| --- | --- | --- |
| 31.80 | 2.814 | 100 |
| 31.97 | 2.800 | 99 |
| 52.99 | 1.728 | 37 |
| 36.47 | 2.464 | 35 |
| 37.05 | 2.426 | 33 |
| 37.42 | 2.403 | 33 |
| 63.56 | 1.464 | 28 |
| 53.68 | 1.707 | 23 |

Entry 5:
Theoretical powder diffraction line list
Compound: Tb3Y2Ag2
Radiation: Cu Kα, 1.54184 Å
Structure: a cell relaxed with GGA-PBE
No peak broadening, texture or thermal motion is included.

Crystal structure
a = 11.8272 Å, b = 11.8272 Å, c = 3.4253 Å
α = 90.00°, β = 90.00°, γ = 156.52°
Atoms (fractional coordinates):
Tb (0.0000, 0.0000, 0.0000)
Tb (0.1381, 0.8619, 0.0000)
Tb (0.8619, 0.1381, 0.0000)
Y (0.2921, 0.7079, 0.5000)
Y (0.7079, 0.2921, 0.5000)
Ag (0.4307, 0.5693, 0.5000)
Ag (0.5693, 0.4307, 0.5000)

Top 8 peaks for 2θ from 15° to 90°, by intensity:
| 2θ (°) | d [Å] | I_rel |
| --- | --- | --- |
| 32.31 | 2.771 | 100 |
| 32.85 | 2.727 | 95 |
| 64.22 | 1.450 | 40 |
| 40.81 | 2.211 | 36 |
| 37.36 | 2.407 | 35 |
| 56.52 | 1.628 | 27 |
| 35.02 | 2.562 | 27 |
| 69.59 | 1.351 | 18 |

Entry 6:
Theoretical powder diffraction line list
Compound: ThMg2GaPd2
Radiation: Cu Kα, 1.54184 Å
Structure: a cell relaxed with GGA-PBE
No peak broadening, texture or thermal motion is included.

Crystal structure
a = 6.3768 Å, b = 6.3768 Å, c = 6.3768 Å
α = 132.81°, β = 132.81°, γ = 68.96°
Atoms (fractional coordinates):
Th (0.0000, 0.0000, 0.0000)
Mg (0.2500, 0.7500, 0.5000)
Mg (0.7500, 0.2500, 0.5000)
Ga (0.5000, 0.5000, 0.0000)
Pd (0.2669, 0.2669, 0.0000)
Pd (0.7331, 0.7331, 0.0000)

Top 8 peaks for 2θ from 15° to 90°, by intensity:
| 2θ (°) | d [Å] | I_rel |
| --- | --- | --- |
| 24.66 | 3.610 | 100 |
| 35.16 | 2.553 | 60 |
| 42.55 | 2.125 | 44 |
| 49.80 | 1.831 | 42 |
| 34.11 | 2.628 | 30 |
| 19.33 | 4.592 | 25 |
| 30.95 | 2.889 | 25 |
| 68.17 | 1.376 | 22 |

Entry 7:
Theoretical powder diffraction line list
Compound: Na2BCl5
Radiation: Cu Kα, 1.54184 Å
Structure: a cell relaxed with GGA-PBE
No peak broadening, texture or thermal motion is included.

Crystal structure
a = 5.3228 Å, b = 5.3228 Å, c = 8.9392 Å
α = 92.92°, β = 92.92°, γ = 89.46°
Atoms (fractional coordinates):
Na (0.2482, 0.7518, 0.0000)
Na (0.7518, 0.2482, 0.0000)
B (0.9949, 0.9949, 0.5231)
Cl (0.2580, 0.2580, 0.0723)
Cl (0.2621, 0.8589, 0.6073)
Cl (0.7422, 0.7422, 0.9303)
Cl (0.8589, 0.2621, 0.6073)
Cl (0.8644, 0.8644, 0.3540)

Top 8 peaks for 2θ from 15° to 90°, by intensity:
| 2θ (°) | d [Å] | I_rel |
| --- | --- | --- |
| 19.90 | 4.461 | 100 |
| 33.73 | 2.657 | 96 |
| 25.42 | 3.504 | 53 |
| 16.68 | 5.316 | 51 |
| 24.96 | 3.567 | 51 |
| 26.74 | 3.334 | 37 |
| 30.07 | 2.972 | 32 |
| 25.80 | 3.454 | 30 |

Entry 8:
Theoretical powder diffraction line list
Compound: SnHPd4
Radiation: Cu Kα, 1.54184 Å
Structure: a cell relaxed with GGA-PBE
No peak broadening, texture or thermal motion is included.

Crystal structure
a = 4.0241 Å, b = 3.9836 Å, c = 6.0617 Å
α = 90.00°, β = 109.28°, γ = 90.00°
Atoms (fractional coordinates):
Sn (0.0000, 0.0000, 0.0000)
H (0.3480, 0.5000, 0.6681)
Pd (0.1591, 0.5000, 0.3140)
Pd (0.3399, 0.0000, 0.6778)
Pd (0.6568, 0.0000, 0.3114)
Pd (0.8401, 0.5000, 0.6769)

Top 8 peaks for 2θ from 15° to 90°, by intensity:
| 2θ (°) | d [Å] | I_rel |
| --- | --- | --- |
| 39.65 | 2.273 | 100 |
| 45.55 | 1.992 | 19 |
| 45.06 | 2.012 | 18 |
| 66.00 | 1.416 | 14 |
| 47.68 | 1.907 | 14 |
| 79.47 | 1.206 | 13 |
| 80.17 | 1.197 | 13 |
| 83.31 | 1.160 | 10 |

Entry 9:
Theoretical powder diffraction line list
Compound: BaIn9Au2
Radiation: Cu Kα, 1.54184 Å
Structure: a cell relaxed with GGA-PBE
No peak broadening, texture or thermal motion is included.

Crystal structure
a = 9.4791 Å, b = 9.4791 Å, c = 4.3463 Å
α = 90.00°, β = 90.00°, γ = 120.00°
Atoms (fractional coordinates):
Ba (0.0000, 0.0000, 0.0000)
In (0.0000, 0.5000, 0.0000)
In (0.2007, 0.4014, 0.5000)
In (0.2007, 0.7993, 0.5000)
In (0.4014, 0.2007, 0.5000)
In (0.5000, 0.0000, 0.0000)
In (0.5000, 0.5000, 0.0000)
In (0.5986, 0.7993, 0.5000)
In (0.7993, 0.2007, 0.5000)
In (0.7993, 0.5986, 0.5000)
Au (0.3333, 0.6667, 0.0000)
Au (0.6667, 0.3333, 0.0000)

Top 8 peaks for 2θ from 15° to 90°, by intensity:
| 2θ (°) | d [Å] | I_rel |
| --- | --- | --- |
| 37.97 | 2.370 | 100 |
| 35.55 | 2.525 | 99 |
| 27.85 | 3.203 | 89 |
| 29.94 | 2.984 | 85 |
| 38.89 | 2.316 | 63 |
| 57.54 | 1.602 | 59 |
| 41.56 | 2.173 | 42 |
| 18.72 | 4.740 | 26 |

Entry 10:
Theoretical powder diffraction line list
Compound: Th8ZnFe2
Radiation: Cu Kα, 1.54184 Å
Structure: a cell relaxed with GGA-PBE
No peak broadening, texture or thermal motion is included.

Crystal structure
a = 7.8696 Å, b = 7.8696 Å, c = 5.7694 Å
α = 98.08°, β = 98.08°, γ = 117.06°
Atoms (fractional coordinates):
Th (0.0000, 0.0000, 0.0000)
Th (0.0433, 0.2938, 0.6135)
Th (0.1571, 0.6306, 0.1876)
Th (0.2938, 0.0433, 0.6135)
Th (0.4845, 0.7318, 0.7660)
Th (0.6306, 0.1571, 0.1876)
Th (0.7318, 0.4845, 0.7660)
Th (0.7700, 0.7700, 0.3667)
Zn (0.3875, 0.3875, 0.1118)
Fe (0.1098, 0.6663, 0.6851)
Fe (0.6663, 0.1098, 0.6851)

Top 8 peaks for 2θ from 15° to 90°, by intensity:
| 2θ (°) | d [Å] | I_rel |
| --- | --- | --- |
| 31.11 | 2.875 | 100 |
| 35.06 | 2.559 | 47 |
| 31.84 | 2.811 | 33 |
| 34.13 | 2.627 | 29 |
| 52.68 | 1.738 | 18 |
| 27.34 | 3.262 | 17 |
| 26.14 | 3.409 | 17 |
| 37.62 | 2.391 | 16 |

Entry 11:
Theoretical powder diffraction line list
Compound: NaBiH2F8
Radiation: Cu Kα, 1.54184 Å
Structure: a cell relaxed with GGA-PBE
No peak broadening, texture or thermal motion is included.

Crystal structure
a = 4.8989 Å, b = 5.0368 Å, c = 7.1574 Å
α = 83.19°, β = 89.75°, γ = 74.80°
Atoms (fractional coordinates):
Na (0.0000, 0.0000, 0.0000)
Bi (0.0000, 0.0000, 0.5000)
H (0.2739, 0.4438, 0.8447)
H (0.7261, 0.5562, 0.1553)
F (0.2242, 0.7960, 0.2939)
F (0.2251, 0.7450, 0.7314)
F (0.2608, 0.2513, 0.4993)
F (0.2876, 0.2930, 0.9440)
F (0.7124, 0.7070, 0.0560)
F (0.7392, 0.7487, 0.5007)
F (0.7749, 0.2550, 0.2686)
F (0.7758, 0.2040, 0.7061)

Top 8 peaks for 2θ from 15° to 90°, by intensity:
| 2θ (°) | d [Å] | I_rel |
| --- | --- | --- |
| 18.39 | 4.824 | 100 |
| 18.78 | 4.726 | 100 |
| 25.05 | 3.555 | 92 |
| 22.60 | 3.934 | 67 |
| 22.30 | 3.986 | 54 |
| 20.96 | 4.238 | 49 |
| 23.52 | 3.783 | 48 |
| 37.36 | 2.407 | 47 |

Entry 12:
Theoretical powder diffraction line list
Compound: SrTe2Br
Radiation: Cu Kα, 1.54184 Å
Structure: a cell relaxed with GGA-PBE
No peak broadening, texture or thermal motion is included.

Crystal structure
a = 8.5514 Å, b = 8.5514 Å, c = 9.1958 Å
α = 92.97°, β = 92.97°, γ = 29.79°
Atoms (fractional coordinates):
Sr (0.0000, 0.0000, 0.0000)
Sr (0.7448, 0.7448, 0.1176)
Te (0.3340, 0.3340, 0.8790)
Te (0.4032, 0.4032, 0.2131)
Te (0.4782, 0.4782, 0.5058)
Te (0.9006, 0.9006, 0.6643)
Br (0.1423, 0.1423, 0.2459)
Br (0.6063, 0.6063, 0.8810)

Top 8 peaks for 2θ from 15° to 90°, by intensity:
| 2θ (°) | d [Å] | I_rel |
| --- | --- | --- |
| 27.42 | 3.253 | 100 |
| 36.41 | 2.467 | 41 |
| 29.88 | 2.990 | 36 |
| 41.06 | 2.198 | 22 |
| 34.96 | 2.566 | 20 |
| 28.43 | 3.140 | 19 |
| 51.61 | 1.771 | 18 |
| 40.17 | 2.245 | 16 |

Which formula does entry 8 have?
SnHPd4